1.
Diffraction record for Sr2Bi2I. The powder X-ray diffraction pattern is theoretical, not measured: it uses a PBE-relaxed structure and Cu Kα.
Lines closer than 0.1° are merged.

Largest 12 diffraction maxima, by angle, 2θ = 10–90°:
2θ 16.23, intensity 25
2θ 19.65, intensity 58
2θ 25.98, intensity 25
2θ 27.93, intensity 100
2θ 29.01, intensity 83
2θ 39.61, intensity 30
2θ 39.92, intensity 39
2θ 40.71, intensity 67
2θ 50.10, intensity 19
2θ 57.49, intensity 21
2θ 58.33, intensity 24
2θ 65.33, intensity 19

a b c (Å): 6.9395 6.9395 6.9395
angles (deg): 125.19 125.19 81.22
Sites, in units of the cell vectors:
1 Sr 0.2500 0.7500 0.5000
2 Sr 0.7500 0.2500 0.5000
3 Bi 0.1389 0.1389 0.0000
4 Bi 0.8611 0.8611 0.0000
5 I 0.5000 0.5000 0.0000

---

2.
Diffraction record for La2Ho3Er8. The powder X-ray diffraction pattern is theoretical, not measured: it uses a PBE-relaxed structure and Cu Kα.
Lines closer than 0.1° are merged.

Largest 12 diffraction maxima, by angle, 2θ = 10–90°:
2θ 24.92, intensity 15
2θ 29.23, intensity 28
2θ 30.24, intensity 27
2θ 32.85, intensity 35
2θ 33.40, intensity 100
2θ 33.99, intensity 16
2θ 47.96, intensity 19
2θ 49.34, intensity 10
2θ 53.26, intensity 9
2θ 58.99, intensity 20
2θ 64.00, intensity 10
2θ 67.79, intensity 9

a b c (Å): 7.5945 5.4534 11.2083
angles (deg): 90.00 109.75 90.00
Sites, in units of the cell vectors:
1 La 0.2389 0.0000 0.4794
2 La 0.7611 0.0000 0.5206
3 Ho 0.0000 0.0000 0.0000
4 Ho 0.2888 0.5000 0.0001
5 Ho 0.7112 0.5000 0.9999
6 Er 0.1230 0.5000 0.2469
7 Er 0.1817 0.0000 0.7894
8 Er 0.3434 0.5000 0.6857
9 Er 0.3914 0.0000 0.2110
10 Er 0.6086 0.0000 0.7890
11 Er 0.6566 0.5000 0.3143
12 Er 0.8183 0.0000 0.2106
13 Er 0.8770 0.5000 0.7531